Ho2CoNiI2: theoretical PXRD pattern (Cu Kα X-rays), based on DFT lattice parameters and positions (GGA-PBE).
Peak positions follow from Bragg's law for the DFT cell and can differ from measured ones.

Main lines, by angle (5° ≤ 2θ ≤ 70°):
2θ = 7.50°, I 79
2θ = 26.81°, I 53
2θ = 29.91°, I 29
2θ = 34.51°, I 100
2θ = 40.18°, I 24
2θ = 45.32°, I 45
2θ = 46.23°, I 12
2θ = 58.19°, I 22
2θ = 61.22°, I 9
2θ = 66.74°, I 24

Cell and atoms:
```
data_Ho2CoNiI2
_cell_length_a 4.0022
_cell_length_b 4.0022
_cell_length_c 11.7821
_cell_angle_alpha 90.00
_cell_angle_beta 90.00
_cell_angle_gamma 120.00
_space_group_name_H-M_alt 'P 3 m 1'
_space_group_IT_number 156
loop_
_space_group_symop_operation_xyz
'x,y,z'
'-y,x-y,z'
'-x+y,-x,z'
'-y,-x,z'
'-x+y,y,z'
'x,x-y,z'
loop_
_atom_site_label
_atom_site_type_symbol
_atom_site_fract_x
_atom_site_fract_y
_atom_site_fract_z
_atom_site_occupancy
Ho1 Ho 0.0000 0.0000 0.0000 1
Ho2 Ho 0.0000 0.0000 0.3046 1
Co1 Co 0.6667 0.3333 0.1500 1
Ni1 Ni 0.3333 0.6667 0.1566 1
I1 I 0.3333 0.6667 0.8182 1
I2 I 0.6667 0.3333 0.4865 1
```

TbDyGe2Pt: theoretical PXRD pattern (Cu Kα X-rays), based on DFT lattice parameters and positions (GGA-PBE).
Peak positions follow from Bragg's law for the DFT cell and can differ from measured ones.

Main lines, by angle (5° ≤ 2θ ≤ 70°):
2θ = 26.68°, I 25
2θ = 32.56°, I 85
2θ = 33.20°, I 60
2θ = 33.41°, I 54
2θ = 34.20°, I 33
2θ = 36.55°, I 41
2θ = 40.33°, I 100
2θ = 41.46°, I 62
2θ = 54.83°, I 29
2θ = 65.89°, I 24

Cell and atoms:
```
data_TbDyGe2Pt
_cell_length_a 10.5000
_cell_length_b 4.3561
_cell_length_c 10.4193
_cell_angle_alpha 90.00
_cell_angle_beta 117.36
_cell_angle_gamma 90.00
_space_group_name_H-M_alt 'C 1 2/m 1'
_space_group_IT_number 12
loop_
_space_group_symop_operation_xyz
'x,y,z'
'-x,-y,-z'
'-x,y,-z'
'x,-y,z'
'x+1/2,y+1/2,z'
'-x+1/2,-y+1/2,-z'
'-x+1/2,y+1/2,-z'
'x+1/2,-y+1/2,z'
loop_
_atom_site_label
_atom_site_type_symbol
_atom_site_fract_x
_atom_site_fract_y
_atom_site_fract_z
_atom_site_occupancy
Tb1 Tb 0.1890 0.0000 0.1143 1
Dy1 Dy 0.0096 0.0000 0.3293 1
Ge1 Ge 0.0242 0.5000 0.8864 1
Ge2 Ge 0.1443 0.5000 0.5522 1
Pt1 Pt 0.2276 0.5000 0.3353 1
```

Ta8Ga2C3N3: theoretical PXRD pattern (Cu Kα X-rays), based on DFT lattice parameters and positions (GGA-PBE).
Peak positions follow from Bragg's law for the DFT cell and can differ from measured ones.

Main lines, by angle (5° ≤ 2θ ≤ 70°):
2θ = 7.35°, I 22
2θ = 33.44°, I 17
2θ = 34.07°, I 41
2θ = 35.11°, I 21
2θ = 36.52°, I 47
2θ = 37.39°, I 42
2θ = 38.27°, I 71
2θ = 40.31°, I 100
2θ = 57.28°, I 24
2θ = 59.36°, I 47

Cell and atoms:
```
data_Ta8Ga2C3N3
_cell_length_a 3.1137
_cell_length_b 3.1137
_cell_length_c 24.0487
_cell_angle_alpha 90.00
_cell_angle_beta 90.00
_cell_angle_gamma 120.00
_space_group_name_H-M_alt 'P -3 m 1'
_space_group_IT_number 164
_space_group_name_Hall '-P 3 2"'
loop_
_atom_site_label
_atom_site_type_symbol
_atom_site_fract_x
_atom_site_fract_y
_atom_site_fract_z
_atom_site_occupancy
Ta1 Ta 0.0000 0.0000 0.1591 1
Ta2 Ta 0.0000 0.0000 0.3404 1
Ta3 Ta 0.3333 0.6667 0.0558 1
Ta4 Ta 0.3333 0.6667 0.4483 1
Ga1 Ga 0.3333 0.6667 0.2506 1
C1 C 0.0000 0.0000 0.0000 1
C2 C 0.3333 0.6667 0.8908 1
N1 N 0.0000 0.0000 0.5000 1
N2 N 0.3333 0.6667 0.6060 1
```

Cs4CuSi2Se7: theoretical PXRD pattern (Cu Kα X-rays), based on DFT lattice parameters and positions (GGA-PBE).
Peak positions follow from Bragg's law for the DFT cell and can differ from measured ones.

Main lines, by angle (5° ≤ 2θ ≤ 70°):
2θ = 23.21°, I 73
2θ = 24.13°, I 97
2θ = 24.30°, I 98
2θ = 25.60°, I 100
2θ = 27.96°, I 83
2θ = 28.52°, I 80
2θ = 28.88°, I 83
2θ = 29.73°, I 93
2θ = 31.78°, I 72
2θ = 32.08°, I 80

Cell and atoms:
```
data_Cs4CuSi2Se7
_cell_length_a 7.7555
_cell_length_b 9.1309
_cell_length_c 9.1309
_cell_angle_alpha 109.08
_cell_angle_beta 98.55
_cell_angle_gamma 113.33
_space_group_name_H-M_alt 'P -1'
_space_group_IT_number 2
loop_
_space_group_symop_operation_xyz
'x,y,z'
'-x,-y,-z'
loop_
_atom_site_label
_atom_site_type_symbol
_atom_site_fract_x
_atom_site_fract_y
_atom_site_fract_z
_atom_site_occupancy
Cs1 Cs 0.0867 0.0553 0.2950 1
Cs2 Cs 0.2919 0.5943 0.8382 1
Cu1 Cu 0.5000 0.0000 0.5000 1
Si1 Si 0.3340 0.5819 0.3215 1
Se1 Se 0.1397 0.3408 0.0910 1
Se2 Se 0.2063 0.7364 0.4774 1
Se3 Se 0.4251 0.1935 0.7080 1
Se4 Se 0.5000 0.5000 0.5000 1
```